Starting from a PBE-relaxed structure, the X-ray powder pattern of Pu3Pd4Au2 was simulated for CuKα.

Main lines, by angle (2θ = 5–70°):
hkl 1 1 -1, 2θ = 23.48°, intensity 9.2
hkl 1 1 -2, 2θ = 29.23°, intensity 13.2
hkl 2 0 -3, 2θ = 37.02°, intensity 53.1
hkl 0 2 0, 2θ = 37.22°, intensity 51.9
hkl 1 1 3, 2θ = 37.50°, intensity 99.1
hkl 3 1 0, 2θ = 37.71°, intensity 100.0
hkl 2 2 -3, 2θ = 53.50°, intensity 36.2
hkl 4 0 3, 2θ = 54.96°, intensity 16.5
hkl 1 1 -6, 2θ = 66.88°, intensity 17.3
hkl 5 1 -3, 2θ = 67.30°, intensity 36.5
hkl 3 3 0, 2θ = 67.43°, intensity 18.7
hkl 4 2 3, 2θ = 68.25°, intensity 17.4

Cell and atoms:
```
data_Pu3Pd4Au2
_cell_length_a 8.231
_cell_length_b 4.832
_cell_length_c 8.876
_cell_angle_alpha 90.00
_cell_angle_beta 91.33
_cell_angle_gamma 90.00
_symmetry_space_group_name_H-M 'C 1 2/m 1'
_symmetry_Int_Tables_number 12
loop_
_symmetry_equiv_pos_as_xyz
'x,y,z'
'-x,-y,-z'
'-x,y,-z'
'x,-y,z'
'x+1/2,y+1/2,z'
'-x+1/2,-y+1/2,-z'
'-x+1/2,y+1/2,-z'
'x+1/2,-y+1/2,z'
loop_
_atom_site_label
_atom_site_type_symbol
_atom_site_fract_x
_atom_site_fract_y
_atom_site_fract_z
_atom_site_occupancy
Pu1 Pu 0.000 0.000 0.000 1
Pu2 Pu 0.165 0.500 0.430 1
Pd1 Pd 0.003 0.000 0.664 1
Pd2 Pd 0.166 0.500 0.107 1
Au1 Au 0.168 0.500 0.781 1
```

Starting from a PBE-relaxed structure, the X-ray powder pattern of Pd2RhAu was simulated for CuKα.

Main lines, by angle (2θ = 5–70°):
hkl 0 0 1, 2θ = 9.59°, intensity 24.5
hkl 0 0 2, 2θ = 19.25°, intensity 8.1
hkl 1 1 0, 2θ = 37.11°, intensity 19.8
hkl 1 1 -1, 2θ = 37.55°, intensity 25.8
hkl 0 0 4, 2θ = 39.06°, intensity 49.9
hkl 1 1 1, 2θ = 39.26°, intensity 24.9
hkl 2 0 1, 2θ = 40.51°, intensity 100.0
hkl 2 0 -3, 2θ = 43.70°, intensity 69.2
hkl 1 1 -3, 2θ = 45.60°, intensity 12.4
hkl 1 1 3, 2θ = 49.92°, intensity 15.7
hkl 0 2 0, 2θ = 66.60°, intensity 31.8
hkl 1 1 -6, 2θ = 69.52°, intensity 14.4

Cell and atoms:
```
data_Pd2RhAu
_cell_length_a 4.864
_cell_length_b 2.809
_cell_length_c 9.362
_cell_angle_alpha 90.00
_cell_angle_beta 99.86
_cell_angle_gamma 90.00
_symmetry_space_group_name_H-M 'C 1 m 1'
_symmetry_Int_Tables_number 8
loop_
_symmetry_equiv_pos_as_xyz
'x,y,z'
'x,-y,z'
'x+1/2,y+1/2,z'
'x+1/2,-y+1/2,z'
loop_
_atom_site_label
_atom_site_type_symbol
_atom_site_fract_x
_atom_site_fract_y
_atom_site_fract_z
_atom_site_occupancy
Pd1 Pd 0.000 0.000 0.000 1
Pd2 Pd 0.176 0.000 0.522 1
Rh1 Rh 0.088 0.500 0.760 1
Au1 Au 0.255 0.500 0.262 1
```

Starting from a PBE-relaxed structure, the X-ray powder pattern of Sr8PdRhAu2 was simulated for CuKα.

Main lines, by angle (2θ = 5–70°):
hkl 1 0 1, 2θ = 17.25°, intensity 100.0
hkl 1 2 0, 2θ = 23.21°, intensity 46.0
hkl 1 2 -1, 2θ = 26.26°, intensity 75.5
hkl 1 0 2, 2θ = 27.31°, intensity 33.5
hkl 1 2 2, 2θ = 33.87°, intensity 38.0
hkl 2 2 1, 2θ = 34.07°, intensity 84.8
hkl 2 0 -2, 2θ = 34.90°, intensity 40.6
hkl 0 4 0, 2θ = 39.91°, intensity 25.8
hkl 0 2 3, 2θ = 42.06°, intensity 44.3
hkl 1 4 1, 2θ = 43.78°, intensity 18.9
hkl 2 4 -2, 2θ = 54.04°, intensity 23.0
hkl 4 2 -3, 2θ = 67.83°, intensity 19.6

Cell and atoms:
```
data_Sr8PdRhAu2
_cell_length_a 7.217
_cell_length_b 9.035
_cell_length_c 7.326
_cell_angle_alpha 90.00
_cell_angle_beta 90.02
_cell_angle_gamma 90.00
_symmetry_space_group_name_H-M 'P 1 2/m 1'
_symmetry_Int_Tables_number 10
loop_
_symmetry_equiv_pos_as_xyz
'x,y,z'
'-x,-y,-z'
'-x,y,-z'
'x,-y,z'
loop_
_atom_site_label
_atom_site_type_symbol
_atom_site_fract_x
_atom_site_fract_y
_atom_site_fract_z
_atom_site_occupancy
Sr1 Sr 0.228 0.243 0.161 1
Sr2 Sr 0.248 0.000 0.677 1
Sr3 Sr 0.256 0.500 0.671 1
Pd1 Pd 0.000 0.500 0.000 1
Rh1 Rh 0.000 0.000 0.000 1
Au1 Au 0.500 0.248 0.500 1
```

Starting from a PBE-relaxed structure, the X-ray powder pattern of Th2PdRhAu was simulated for CuKα.

Main lines, by angle (2θ = 5–70°):
hkl 2 0 0, 2θ = 25.19°, intensity 25.6
hkl 1 1 1, 2θ = 28.68°, intensity 22.6
hkl 2 0 1, 2θ = 30.86°, intensity 14.5
hkl 0 1 2, 2θ = 32.05°, intensity 93.7
hkl 2 1 -2, 2θ = 36.73°, intensity 100.0
hkl 3 0 -1, 2θ = 36.80°, intensity 22.0
hkl 2 1 1, 2θ = 37.46°, intensity 55.5
hkl 0 2 0, 2θ = 42.17°, intensity 37.9
hkl 4 0 -1, 2θ = 49.74°, intensity 13.3
hkl 2 0 3, 2θ = 50.68°, intensity 11.4
hkl 3 0 -4, 2θ = 54.45°, intensity 15.7
hkl 0 2 3, 2θ = 57.13°, intensity 27.8

Cell and atoms:
```
data_Th2PdRhAu
_cell_length_a 7.339
_cell_length_b 4.286
_cell_length_c 7.632
_cell_angle_alpha 90.00
_cell_angle_beta 105.53
_cell_angle_gamma 90.00
_symmetry_space_group_name_H-M 'P 1 21/m 1'
_symmetry_Int_Tables_number 11
loop_
_symmetry_equiv_pos_as_xyz
'x,y,z'
'-x,-y,-z'
'-x,y+1/2,-z'
'x,-y+1/2,z'
loop_
_atom_site_label
_atom_site_type_symbol
_atom_site_fract_x
_atom_site_fract_y
_atom_site_fract_z
_atom_site_occupancy
Th1 Th 0.157 0.250 0.356 1
Th2 Th 0.292 0.250 0.941 1
Pd1 Pd 0.464 0.750 0.348 1
Rh1 Rh 0.121 0.750 0.086 1
Au1 Au 0.279 0.750 0.656 1
```

Starting from a PBE-relaxed structure, the X-ray powder pattern of PdAuS was simulated for CuKα.

Main lines, by angle (2θ = 5–70°):
hkl 1 0 0, 2θ = 11.51°, intensity 100.0
hkl 2 1 0, 2θ = 28.33°, intensity 20.2
hkl 0 2 0, 2θ = 32.57°, intensity 15.4
hkl 2 1 1, 2θ = 33.82°, intensity 42.3
hkl 3 0 0, 2θ = 35.02°, intensity 27.2
hkl 0 0 2, 2θ = 36.64°, intensity 54.4
hkl 0 2 1, 2θ = 37.50°, intensity 45.7
hkl 1 0 2, 2θ = 38.53°, intensity 13.1
hkl 1 2 1, 2θ = 39.36°, intensity 49.4
hkl 3 1 1, 2θ = 43.10°, intensity 43.9
hkl 2 2 1, 2θ = 44.53°, intensity 16.8
hkl 3 0 2, 2θ = 51.59°, intensity 17.8

Cell and atoms:
```
data_PdAuS
_cell_length_a 7.686
_cell_length_b 5.498
_cell_length_c 4.905
_cell_angle_alpha 90.00
_cell_angle_beta 90.00
_cell_angle_gamma 90.00
_symmetry_space_group_name_H-M 'P b c m'
_symmetry_Int_Tables_number 57
loop_
_symmetry_equiv_pos_as_xyz
'x,y,z'
'-x,-y,-z'
'-x,-y,z+1/2'
'x,y,-z+1/2'
'x,-y+1/2,-z'
'-x,y+1/2,z'
'-x,y+1/2,-z+1/2'
'x,-y+1/2,z+1/2'
loop_
_atom_site_label
_atom_site_type_symbol
_atom_site_fract_x
_atom_site_fract_y
_atom_site_fract_z
_atom_site_occupancy
Pd1 Pd 0.190 0.031 0.250 1
Au1 Au 0.445 0.616 0.250 1
S1 S 0.136 0.029 0.750 1
```

Starting from a PBE-relaxed structure, the X-ray powder pattern of PdAu2S was simulated for CuKα.

Main lines, by angle (2θ = 5–70°):
hkl 0 0 4, 2θ = 17.91°, intensity 41.3
hkl 1 0 1, 2θ = 23.68°, intensity 3.7
hkl 1 0 3, 2θ = 26.93°, intensity 3.2
hkl 1 1 2, 2θ = 34.36°, intensity 100.0
hkl 0 0 8, 2θ = 36.27°, intensity 35.3
hkl 1 1 6, 2θ = 43.23°, intensity 53.3
hkl 2 0 0, 2θ = 47.52°, intensity 7.7
hkl 2 0 4, 2θ = 51.18°, intensity 52.7
hkl 0 0 12, 2θ = 55.66°, intensity 2.5
hkl 1 1 10, 2θ = 57.66°, intensity 22.9
hkl 2 0 8, 2θ = 61.21°, intensity 7.4
hkl 2 2 0, 2θ = 69.48°, intensity 10.6

Cell and atoms:
```
data_PdAu2S
_cell_length_a 3.826
_cell_length_b 3.826
_cell_length_c 19.815
_cell_angle_alpha 90.00
_cell_angle_beta 90.00
_cell_angle_gamma 90.00
_symmetry_space_group_name_H-M 'I -4 2 d'
_symmetry_Int_Tables_number 122
_symmetry_space_group_name_Hall 'I -4 2bw'
loop_
_atom_site_label
_atom_site_type_symbol
_atom_site_fract_x
_atom_site_fract_y
_atom_site_fract_z
_atom_site_occupancy
Pd1 Pd 0.000 0.000 0.000 1
Au1 Au 0.248 0.250 0.625 1
S1 S 0.000 0.000 0.500 1
```

Starting from a PBE-relaxed structure, the X-ray powder pattern of SbPd7Au3 was simulated for CuKα.

Main lines, by angle (2θ = 5–70°):
hkl 2 0 0, 2θ = 21.59°, intensity 18.3
hkl 2 2 -1, 2θ = 27.85°, intensity 8.6
hkl 2 0 -2, 2θ = 36.44°, intensity 100.0
hkl 1 3 1, 2θ = 39.47°, intensity 9.2
hkl 3 3 -1, 2θ = 39.67°, intensity 9.8
hkl 2 2 1, 2θ = 41.75°, intensity 50.1
hkl 4 2 -1, 2θ = 42.04°, intensity 48.5
hkl 2 4 -2, 2θ = 52.49°, intensity 33.6
hkl 0 2 3, 2θ = 68.94°, intensity 11.7
hkl 2 6 1, 2θ = 69.26°, intensity 9.3
hkl 4 6 -1, 2θ = 69.47°, intensity 9.3
hkl 6 2 -3, 2θ = 69.56°, intensity 11.1

Cell and atoms:
```
data_SbPd7Au3
_cell_length_a 9.559
_cell_length_b 9.851
_cell_length_c 4.937
_cell_angle_alpha 90.00
_cell_angle_beta 120.55
_cell_angle_gamma 90.00
_symmetry_space_group_name_H-M 'C 1 2/m 1'
_symmetry_Int_Tables_number 12
loop_
_symmetry_equiv_pos_as_xyz
'x,y,z'
'-x,-y,-z'
'-x,y,-z'
'x,-y,z'
'x+1/2,y+1/2,z'
'-x+1/2,-y+1/2,-z'
'-x+1/2,y+1/2,-z'
'x+1/2,-y+1/2,z'
loop_
_atom_site_label
_atom_site_type_symbol
_atom_site_fract_x
_atom_site_fract_y
_atom_site_fract_z
_atom_site_occupancy
Sb1 Sb 0.000 0.000 0.000 1
Pd1 Pd 0.000 0.000 0.500 1
Pd2 Pd 0.167 0.256 0.167 1
Pd3 Pd 0.183 0.500 0.673 1
Au1 Au 0.000 0.270 0.500 1
Au2 Au 0.000 0.500 0.000 1
```

Starting from a PBE-relaxed structure, the X-ray powder pattern of Sb8Pd3Au was simulated for CuKα.

Main lines, by angle (2θ = 5–70°):
hkl 2 0 2, 2θ = 26.98°, intensity 35.3
hkl 2 -1 3, 2θ = 30.22°, intensity 100.0
hkl 3 -2 2, 2θ = 33.19°, intensity 46.4
hkl 3 0 0, 2θ = 33.25°, intensity 31.1
hkl 0 2 4, 2θ = 38.47°, intensity 14.3
hkl 2 2 0, 2θ = 38.58°, intensity 14.3
hkl 2 2 3, 2θ = 45.49°, intensity 74.2
hkl 4 0 1, 2θ = 45.57°, intensity 23.5
hkl 1 2 5, 2θ = 49.67°, intensity 13.8
hkl 1 1 6, 2θ = 51.63°, intensity 11.3
hkl 2 3 2, 2θ = 51.79°, intensity 30.0
hkl 5 -3 5, 2θ = 64.63°, intensity 13.1

Cell and atoms:
```
data_Sb8Pd3Au
_cell_length_a 9.3351
_cell_length_b 9.3351
_cell_length_c 11.4803
_cell_angle_alpha 90.00
_cell_angle_beta 90.00
_cell_angle_gamma 120.00
_symmetry_space_group_name_H-M 'R -3'
_symmetry_Int_Tables_number 148
_symmetry_space_group_name_Hall '-R 3'
loop_
_atom_site_label
_atom_site_type_symbol
_atom_site_fract_x
_atom_site_fract_y
_atom_site_fract_z
_atom_site_occupancy
Sb1 Sb 0.0000 0.0000 0.1263 1
Sb2 Sb 0.0027 0.2577 0.6278 1
Pd1 Pd 0.0000 0.5000 0.5000 1
Au1 Au 0.0000 0.0000 0.5000 1
```

- What is the formula in the second record?
  Pd2RhAu